1.
# Tb4In20Ni11
Simulated XRD peak list, Cu Kα. Input: a structure optimized by DFT (GGA-PBE).
Lines closer than 0.1° are merged.

The 10 most intense peaks (10° ≤ 2θ ≤ 90°), sorted by position:
two_theta	I (rel.)
31.3	26
34.1	23
34.3	37
34.9	100
35.2	37
35.7	47
36.7	25
41.5	81
42.4	22
68.1	21

Atomic structure:
Lattice parameters (Å, degrees): 4.3530 11.5924 14.0347 80.63 81.08 79.18
Element x y z (fractional)
1 Tb 0.1182 0.0944 0.1682
2 Tb 0.2284 0.3685 0.6750
3 Tb 0.7716 0.6315 0.3250
4 Tb 0.8818 0.9056 0.8318
5 In 0.0106 0.0751 0.4046
6 In 0.0626 0.6633 0.7098
7 In 0.1144 0.3222 0.9484
8 In 0.2022 0.5987 0.4969
9 In 0.2462 0.7973 0.2096
10 In 0.2963 0.9050 0.0019
11 In 0.3718 0.0604 0.6965
12 In 0.3902 0.5314 0.1902
13 In 0.3985 0.2135 0.4900
14 In 0.4594 0.7038 0.8785
15 In 0.5406 0.2962 0.1215
16 In 0.6015 0.7865 0.5100
17 In 0.6098 0.4686 0.8098
18 In 0.6282 0.9396 0.3035
19 In 0.7037 0.0950 0.9981
20 In 0.7538 0.2027 0.7904
21 In 0.7978 0.4013 0.5031
22 In 0.8856 0.6778 0.0516
23 In 0.9374 0.3367 0.2902
24 In 0.9894 0.9249 0.5954
25 Ni 0.0227 0.5555 0.8999
26 Ni 0.1349 0.8321 0.3981
27 Ni 0.2524 0.1124 0.8832
28 Ni 0.3463 0.4285 0.3791
29 Ni 0.4916 0.8193 0.6957
30 Ni 0.5000 0.5000 0.0000
31 Ni 0.5084 0.1807 0.3043
32 Ni 0.6537 0.5715 0.6209
33 Ni 0.7476 0.8876 0.1168
34 Ni 0.8651 0.1679 0.6019
35 Ni 0.9773 0.4445 0.1001



2.
# Pr2TmAu2
Simulated XRD peak list, Cu Kα. Input: a structure optimized by DFT (GGA-PBE).
Lines closer than 0.1° are merged.

The 10 most intense peaks (10° ≤ 2θ ≤ 90°), sorted by position:
two_theta	I (rel.)
18.0	38
31.1	32
31.4	89
35.0	100
35.3	28
36.5	26
45.3	24
47.4	26
55.9	20
58.3	41

Atomic structure:
Lattice parameters (Å, degrees): 6.3947 6.3947 6.3947 143.49 112.63 79.13
Element x y z (fractional)
1 Pr 0.1999 0.1999 0.0000
2 Pr 0.8001 0.8001 0.0000
3 Tm 0.5000 0.0000 0.5000
4 Au 0.2107 0.5000 0.7107
5 Au 0.7893 0.5000 0.2893



3.
# TbTm2Rh3
Simulated XRD peak list, Cu Kα. Input: a structure optimized by DFT (GGA-PBE).
Lines closer than 0.1° are merged.

The 10 most intense peaks (10° ≤ 2θ ≤ 90°), sorted by position:
two_theta	I (rel.)
26.2	6
37.4	100
46.2	1
54.0	17
61.0	2
67.5	26
67.6	9
79.7	6
79.9	5
85.7	1

Atomic structure:
Lattice parameters (Å, degrees): 4.8103 4.8103 11.7539 90.00 90.00 120.00
Element x y z (fractional)
1 Tb 0.3333 0.6667 0.1678
2 Tb 0.6667 0.3333 0.8322
3 Tm 0.0000 0.0000 0.0000
4 Tm 0.0000 0.0000 0.5000
5 Tm 0.3333 0.6667 0.6646
6 Tm 0.6667 0.3333 0.3354
7 Rh 0.0000 0.0000 0.2524
8 Rh 0.0000 0.0000 0.7476
9 Rh 0.3333 0.6667 0.4185
10 Rh 0.3333 0.6667 0.9164
11 Rh 0.6667 0.3333 0.0836
12 Rh 0.6667 0.3333 0.5815



4.
# TbNd3Pb2
Simulated XRD peak list, Cu Kα. Input: a structure optimized by DFT (GGA-PBE).
Lines closer than 0.1° are merged.

The 10 most intense peaks (10° ≤ 2θ ≤ 90°), sorted by position:
two_theta	I (rel.)
31.3	100
32.6	22
35.9	18
39.9	14
49.3	12
52.5	11
54.8	11
57.4	11
61.7	15
67.1	11

Atomic structure:
Lattice parameters (Å, degrees): 8.6059 8.6059 4.5184 90.00 90.00 146.22
Element x y z (fractional)
1 Tb 0.0000 0.0000 0.0000
2 Nd 0.1766 0.8234 0.5000
3 Nd 0.5000 0.5000 0.5000
4 Nd 0.8234 0.1766 0.5000
5 Pb 0.3509 0.6491 0.0000
6 Pb 0.6491 0.3509 0.0000